(1)
For Y3UAg3Te8, a crystal structure in Alexandria, relaxed with GGA-PBE gives the simulated powder diffractogram in this record (a wavelength of 1.5418 Å).

Cell and atoms:
a b c (Å): 8.632 8.632 8.658
angles (deg): 118.79 118.79 61.32
Fractional coordinates of all 15 atoms:
Y  0.000  0.000  0.000
Y  0.000  0.500  0.500
Y  0.500  0.000  0.500
U  0.500  0.500  0.000
Ag  0.000  0.500  0.000
Ag  0.500  0.000  0.000
Ag  0.500  0.500  0.500
Te  0.249  0.249  0.749
Te  0.249  0.749  0.250
Te  0.251  0.751  0.750
Te  0.253  0.253  0.249
Te  0.747  0.747  0.751
Te  0.749  0.249  0.250
Te  0.751  0.251  0.750
Te  0.751  0.751  0.251

The 12 most intense peaks (10° ≤ 2θ ≤ 80°), sorted by position:
12.35 deg, I = 13
28.97 deg, I = 100
41.01 deg, I = 39
41.75 deg, I = 12
41.88 deg, I = 24
50.92 deg, I = 7
51.03 deg, I = 14
52.37 deg, I = 6
59.96 deg, I = 8
67.38 deg, I = 12
74.71 deg, I = 6
75.35 deg, I = 8


(2)
For VAg3Te4, a crystal structure in Alexandria, relaxed with GGA-PBE gives the simulated powder diffractogram in this record (a wavelength of 1.5418 Å).

Cell and atoms:
a b c (Å): 8.777 7.675 7.449
angles (deg): 90.00 90.00 90.00
Fractional coordinates of all 16 atoms:
V  0.000  0.174  0.000
V  0.500  0.826  0.500
Ag  0.000  0.846  0.490
Ag  0.249  0.673  0.985
Ag  0.251  0.327  0.485
Ag  0.500  0.154  0.990
Ag  0.749  0.327  0.485
Ag  0.751  0.673  0.985
Te  0.000  0.174  0.663
Te  0.000  0.866  0.116
Te  0.238  0.329  0.112
Te  0.262  0.671  0.612
Te  0.500  0.134  0.616
Te  0.500  0.826  0.163
Te  0.738  0.671  0.612
Te  0.762  0.329  0.112

The 12 most intense peaks (10° ≤ 2θ ≤ 80°), sorted by position:
23.18 deg, I = 33
23.35 deg, I = 74
23.89 deg, I = 57
26.12 deg, I = 30
26.27 deg, I = 57
33.65 deg, I = 24
40.83 deg, I = 60
41.14 deg, I = 31
43.47 deg, I = 100
47.86 deg, I = 31
61.34 deg, I = 23
67.48 deg, I = 17


(3)
For Zr2Ag2Te, a crystal structure in Alexandria, relaxed with GGA-PBE gives the simulated powder diffractogram in this record (a wavelength of 1.5418 Å).

Cell and atoms:
a b c (Å): 7.448 7.448 4.165
angles (deg): 90.00 90.00 90.00
Fractional coordinates of all 10 atoms:
Zr  0.155  0.345  0.000
Zr  0.345  0.845  0.000
Zr  0.655  0.155  0.000
Zr  0.845  0.655  0.000
Ag  0.135  0.635  0.500
Ag  0.365  0.135  0.500
Ag  0.635  0.865  0.500
Ag  0.865  0.365  0.500
Te  0.000  0.000  0.000
Te  0.500  0.500  0.000

The 12 most intense peaks (10° ≤ 2θ ≤ 80°), sorted by position:
27.30 deg, I = 25
34.05 deg, I = 6
34.48 deg, I = 100
38.21 deg, I = 47
40.53 deg, I = 7
43.46 deg, I = 19
49.24 deg, I = 9
53.94 deg, I = 6
55.44 deg, I = 6
59.23 deg, I = 25
71.94 deg, I = 15
73.97 deg, I = 10


(4)
For ThAg, a crystal structure in Alexandria, relaxed with GGA-PBE gives the simulated powder diffractogram in this record (a wavelength of 1.5418 Å).

Cell and atoms:
a b c (Å): 3.716 4.603 6.441
angles (deg): 90.00 106.45 90.00
Fractional coordinates of all 4 atoms:
Th  0.159  0.250  0.319
Th  0.841  0.750  0.681
Ag  0.432  0.250  0.864
Ag  0.568  0.750  0.136

The 12 most intense peaks (10° ≤ 2θ ≤ 80°), sorted by position:
24.11 deg, I = 24
28.91 deg, I = 15
31.79 deg, I = 100
32.36 deg, I = 28
32.55 deg, I = 27
34.98 deg, I = 56
39.14 deg, I = 29
49.03 deg, I = 15
51.67 deg, I = 15
51.79 deg, I = 15
61.48 deg, I = 15
64.46 deg, I = 13


(5)
For Th2Ag3, a crystal structure in Alexandria, relaxed with GGA-PBE gives the simulated powder diffractogram in this record (a wavelength of 1.5418 Å).

Cell and atoms:
a b c (Å): 14.851 14.851 4.823
angles (deg): 90.00 90.00 166.66
Fractional coordinates of all 10 atoms:
Th  0.072  0.928  0.750
Th  0.212  0.788  0.250
Th  0.788  0.212  0.750
Th  0.928  0.072  0.250
Ag  0.329  0.671  0.250
Ag  0.381  0.619  0.750
Ag  0.476  0.524  0.750
Ag  0.524  0.476  0.250
Ag  0.619  0.381  0.250
Ag  0.671  0.329  0.750

The 12 most intense peaks (10° ≤ 2θ ≤ 80°), sorted by position:
22.02 deg, I = 22
33.20 deg, I = 100
33.57 deg, I = 60
35.68 deg, I = 71
37.29 deg, I = 40
51.04 deg, I = 37
53.10 deg, I = 14
62.99 deg, I = 17
64.66 deg, I = 15
65.62 deg, I = 24
66.20 deg, I = 13
66.67 deg, I = 14


(6)
For Th4Tl3Ag, a crystal structure in Alexandria, relaxed with GGA-PBE gives the simulated powder diffractogram in this record (a wavelength of 1.5418 Å).

Cell and atoms:
a b c (Å): 3.529 3.529 18.212
angles (deg): 90.00 90.00 90.00
Fractional coordinates of all 8 atoms:
Th  0.000  0.000  0.116
Th  0.000  0.000  0.372
Th  0.000  0.000  0.628
Th  0.000  0.000  0.884
Tl  0.500  0.500  0.245
Tl  0.500  0.500  0.500
Tl  0.500  0.500  0.755
Ag  0.500  0.500  0.000

The 12 most intense peaks (10° ≤ 2θ ≤ 80°), sorted by position:
25.24 deg, I = 1
29.27 deg, I = 2
32.09 deg, I = 100
35.99 deg, I = 38
39.59 deg, I = 13
50.69 deg, I = 2
51.82 deg, I = 14
54.57 deg, I = 21
61.91 deg, I = 2
62.27 deg, I = 31
67.13 deg, I = 22
76.33 deg, I = 4


(7)
For Y2ThTl2Ag2, a crystal structure in Alexandria, relaxed with GGA-PBE gives the simulated powder diffractogram in this record (a wavelength of 1.5418 Å).

Cell and atoms:
a b c (Å): 9.112 9.112 9.112
angles (deg): 31.34 31.34 31.34
Fractional coordinates of all 7 atoms:
Y  0.134  0.134  0.134
Y  0.866  0.866  0.866
Th  0.000  0.000  0.000
Tl  0.266  0.266  0.266
Tl  0.734  0.734  0.734
Ag  0.436  0.436  0.436
Ag  0.564  0.564  0.564

The 12 most intense peaks (10° ≤ 2θ ≤ 80°), sorted by position:
24.99 deg, I = 40
31.98 deg, I = 100
34.74 deg, I = 21
36.51 deg, I = 100
43.83 deg, I = 13
44.76 deg, I = 9
49.31 deg, I = 30
59.08 deg, I = 8
62.89 deg, I = 28
65.72 deg, I = 18
65.97 deg, I = 12
77.59 deg, I = 11


(8)
For YThAg2, a crystal structure in Alexandria, relaxed with GGA-PBE gives the simulated powder diffractogram in this record (a wavelength of 1.5418 Å).

Cell and atoms:
a b c (Å): 5.346 5.346 3.551
angles (deg): 90.00 90.00 90.00
Fractional coordinates of all 4 atoms:
Y  0.000  0.000  0.000
Th  0.500  0.500  0.000
Ag  0.000  0.500  0.500
Ag  0.500  0.000  0.500

The 12 most intense peaks (10° ≤ 2θ ≤ 80°), sorted by position:
16.58 deg, I = 17
30.22 deg, I = 8
33.52 deg, I = 55
34.66 deg, I = 100
37.62 deg, I = 5
45.75 deg, I = 6
48.14 deg, I = 20
51.47 deg, I = 8
60.67 deg, I = 39
62.84 deg, I = 17
70.45 deg, I = 6
73.13 deg, I = 11


(9)
For ThZn2Ag10, a crystal structure in Alexandria, relaxed with GGA-PBE gives the simulated powder diffractogram in this record (a wavelength of 1.5418 Å).

Cell and atoms:
a b c (Å): 9.539 7.282 7.241
angles (deg): 82.11 49.13 48.76
Fractional coordinates of all 13 atoms:
Th  0.000  0.000  0.000
Zn  0.000  0.000  0.500
Zn  0.500  0.500  0.000
Ag  0.000  0.500  0.000
Ag  0.008  0.651  0.349
Ag  0.285  0.506  0.494
Ag  0.349  0.992  0.008
Ag  0.494  0.715  0.285
Ag  0.500  0.000  0.500
Ag  0.506  0.285  0.715
Ag  0.651  0.008  0.992
Ag  0.715  0.494  0.506
Ag  0.992  0.349  0.651

The 12 most intense peaks (10° ≤ 2θ ≤ 80°), sorted by position:
26.67 deg, I = 15
29.56 deg, I = 12
32.72 deg, I = 51
33.30 deg, I = 21
37.76 deg, I = 100
37.99 deg, I = 54
38.42 deg, I = 58
42.95 deg, I = 18
43.06 deg, I = 16
62.64 deg, I = 12
68.03 deg, I = 13
68.56 deg, I = 23


(10)
For ThZnAg3, a crystal structure in Alexandria, relaxed with GGA-PBE gives the simulated powder diffractogram in this record (a wavelength of 1.5418 Å).

Cell and atoms:
a b c (Å): 5.211 5.211 4.970
angles (deg): 118.35 118.35 78.18
Fractional coordinates of all 5 atoms:
Th  0.000  0.000  0.000
Zn  0.299  0.299  0.797
Ag  0.303  0.711  0.507
Ag  0.691  0.691  0.191
Ag  0.711  0.303  0.507

The 12 most intense peaks (10° ≤ 2θ ≤ 80°), sorted by position:
19.36 deg, I = 10
27.14 deg, I = 11
27.89 deg, I = 20
35.64 deg, I = 100
36.08 deg, I = 79
36.15 deg, I = 43
43.68 deg, I = 14
44.67 deg, I = 12
57.94 deg, I = 12
60.60 deg, I = 14
64.68 deg, I = 17
72.72 deg, I = 8


(11)
For Th3Zn6Ag5, a crystal structure in Alexandria, relaxed with GGA-PBE gives the simulated powder diffractogram in this record (a wavelength of 1.5418 Å).

Cell and atoms:
a b c (Å): 8.431 8.431 8.431
angles (deg): 148.41 113.04 75.93
Fractional coordinates of all 14 atoms:
Th  0.000  0.000  0.000
Th  0.293  0.293  0.000
Th  0.707  0.707  0.000
Zn  0.152  0.864  0.288
Zn  0.322  0.500  0.822
Zn  0.423  0.136  0.288
Zn  0.577  0.864  0.712
Zn  0.678  0.500  0.178
Zn  0.848  0.136  0.712
Ag  0.010  0.659  0.352
Ag  0.307  0.659  0.648
Ag  0.500  0.000  0.500
Ag  0.693  0.341  0.352
Ag  0.990  0.341  0.648

The 12 most intense peaks (10° ≤ 2θ ≤ 80°), sorted by position:
27.99 deg, I = 63
33.13 deg, I = 49
34.10 deg, I = 100
34.69 deg, I = 54
34.92 deg, I = 72
35.33 deg, I = 46
37.53 deg, I = 42
39.26 deg, I = 68
40.72 deg, I = 24
52.28 deg, I = 27
53.83 deg, I = 28
66.78 deg, I = 31


(12)
For ThZnAg, a crystal structure in Alexandria, relaxed with GGA-PBE gives the simulated powder diffractogram in this record (a wavelength of 1.5418 Å).

Cell and atoms:
a b c (Å): 4.770 4.770 3.409
angles (deg): 90.00 90.00 120.00
Fractional coordinates of all 3 atoms:
Th  0.000  0.000  0.000
Zn  0.667  0.333  0.500
Ag  0.333  0.667  0.500

The 12 most intense peaks (10° ≤ 2θ ≤ 80°), sorted by position:
21.51 deg, I = 28
34.10 deg, I = 100
37.72 deg, I = 63
43.83 deg, I = 5
51.75 deg, I = 31
53.78 deg, I = 7
58.59 deg, I = 4
59.17 deg, I = 4
65.78 deg, I = 30
67.55 deg, I = 22
68.09 deg, I = 11
71.80 deg, I = 2